Ga2Ag2TeSe3: theoretical powder diffraction line list (Cu Kα (λ = 1.5418 Å)), based on a cell relaxed with PBE.
No peak broadening, texture or thermal motion is included.

Top 12 peaks for 15° ≤ 2θ ≤ 90°, in order of rising 2θ:
h k l  two_theta  I (rel.)
1 1 1  25.55  97
3 1 -1  25.83  100
2 2 -2  41.54  51
2 0 2  42.63  24
4 2 0  43.18  47
6 0 -2  43.35  23
1 1 -3  49.08  16
1 3 1  49.57  31
3 3 -1  49.74  14
5 1 1  51.94  14
7 1 -1  52.40  13
0 2 4  76.16  8

Crystal structure
```
data_Ga2Ag2TeSe3
_space_group_name_H-M_alt 'C 1 2 1'
_space_group_IT_number 5
_space_group_name_Hall 'C 2y'
_cell_length_a 12.964
_cell_length_b 6.121
_cell_length_c 6.176
_cell_angle_alpha 90.00
_cell_angle_beta 117.53
_cell_angle_gamma 90.00
loop_
_atom_site_label
_atom_site_fract_x
_atom_site_fract_y
_atom_site_fract_z
Ga1 0.129 0.000 0.390
Ag1 0.128 0.518 0.871
Te1 0.000 0.237 0.000
Se1 0.000 0.784 0.500
Se2 0.250 0.257 0.720
```



Zn2GaAgSe4: theoretical powder diffraction line list (Cu Kα (λ = 1.5418 Å)), based on a cell relaxed with PBE.
No peak broadening, texture or thermal motion is included.

Top 12 peaks for 15° ≤ 2θ ≤ 90°, in order of rising 2θ:
h k l  two_theta  I (rel.)
0 0 2  24.74  47
0 1 1  25.06  100
2 0 0  26.27  80
1 0 2  28.07  34
1 1 -1  28.35  64
2 1 -1  36.62  36
0 1 3  43.75  83
0 2 0  44.35  40
3 0 2  47.60  69
3 1 1  47.70  36
2 1 3  51.81  24
2 2 0  52.28  23

Crystal structure
```
data_Zn2GaAgSe4
_space_group_name_H-M_alt 'P 1 m 1'
_space_group_IT_number 6
_space_group_name_Hall 'P -2y'
_cell_length_a 6.785
_cell_length_b 4.085
_cell_length_c 7.199
_cell_angle_alpha 90.00
_cell_angle_beta 90.16
_cell_angle_gamma 90.00
loop_
_atom_site_label
_atom_site_fract_x
_atom_site_fract_y
_atom_site_fract_z
Zn1 0.000 0.000 0.000
Zn2 0.471 0.500 0.840
Ga1 0.000 0.500 0.516
Ag1 0.482 0.000 0.336
Se1 0.351 0.500 0.521
Se2 0.359 0.000 0.995
Se3 0.852 0.500 0.838
Se4 0.874 0.000 0.342
```



Zn2GaAgSe4: theoretical powder diffraction line list (Cu Kα (λ = 1.5418 Å)), based on a cell relaxed with PBE.
No peak broadening, texture or thermal motion is included.

Top 12 peaks for 15° ≤ 2θ ≤ 90°, in order of rising 2θ:
h k l  two_theta  I (rel.)
1 1 2  26.51  100
2 2 0  43.50  25
2 0 4  44.21  48
3 1 2  51.66  30
1 1 6  52.90  14
4 0 0  63.21  8
0 0 8  65.38  4
3 3 2  69.78  6
3 1 6  70.82  11
4 2 4  80.35  15
2 2 8  81.84  7
5 1 2  85.92  6

Crystal structure
```
data_Zn2GaAgSe4
_space_group_name_H-M_alt 'I -4 2 m'
_space_group_IT_number 121
_space_group_name_Hall 'I -4 2'
_cell_length_a 5.885
_cell_length_b 5.885
_cell_length_c 11.418
_cell_angle_alpha 90.00
_cell_angle_beta 90.00
_cell_angle_gamma 90.00
loop_
_atom_site_label
_atom_site_fract_x
_atom_site_fract_y
_atom_site_fract_z
Zn1 0.000 0.500 0.250
Ga1 0.000 0.000 0.000
Ag1 0.000 0.000 0.500
Se1 0.236 0.236 0.871
```



Sm4Ga7Ag5: theoretical powder diffraction line list (Cu Kα (λ = 1.5418 Å)), based on a cell relaxed with PBE.
No peak broadening, texture or thermal motion is included.

Top 12 peaks for 15° ≤ 2θ ≤ 90°, in order of rising 2θ:
h k l  two_theta  I (rel.)
1 1 2  29.31  17
2 1 -1  33.44  96
0 0 4  34.59  11
1 1 3  35.24  100
1 0 -4  36.84  23
1 0 4  36.96  13
3 0 1  39.04  17
0 2 0  40.61  48
3 0 -2  41.86  21
3 0 2  42.03  13
1 2 -4  56.03  16
2 3 -1  69.34  11

Crystal structure
```
data_Sm4Ga7Ag5
_space_group_name_H-M_alt 'P 1 m 1'
_space_group_IT_number 6
_space_group_name_Hall 'P -2y'
_cell_length_a 7.099
_cell_length_b 4.443
_cell_length_c 10.371
_cell_angle_alpha 90.00
_cell_angle_beta 90.23
_cell_angle_gamma 90.00
loop_
_atom_site_label
_atom_site_fract_x
_atom_site_fract_y
_atom_site_fract_z
Sm1 0.000 0.000 0.000
Sm2 0.066 0.500 0.500
Sm3 0.498 0.000 0.839
Sm4 0.565 0.500 0.339
Ga1 0.080 0.000 0.708
Ga2 0.205 0.500 0.822
Ga3 0.361 0.000 0.518
Ga4 0.485 0.500 0.632
Ga5 0.580 0.000 0.132
Ga6 0.704 0.500 0.018
Ga7 0.861 0.000 0.322
Ag1 0.242 0.000 0.268
Ag2 0.326 0.500 0.071
Ag3 0.741 0.000 0.572
Ag4 0.823 0.500 0.767
Ag5 0.983 0.500 0.209
```